Diffraction record for La2ZrSe5. The PXRD pattern is simulated, not measured: it uses a cell relaxed with PBE and copper Kα.

Cell lengths 12.320, 8.496, 7.852 Å; angles 90.00, 90.00, 90.00 degrees
Element x y z (fractional)
1 La 0.177 0.002 0.031
2 La 0.177 0.498 0.031
3 La 0.323 0.502 0.531
4 La 0.323 0.998 0.531
5 La 0.677 0.002 0.469
6 La 0.677 0.498 0.469
7 La 0.823 0.502 0.969
8 La 0.823 0.998 0.969
9 Zr 0.008 0.750 0.578
10 Zr 0.492 0.250 0.078
11 Zr 0.508 0.750 0.922
12 Zr 0.992 0.250 0.422
13 Se 0.006 0.750 0.944
14 Se 0.085 0.037 0.664
15 Se 0.085 0.463 0.664
16 Se 0.182 0.750 0.342
17 Se 0.206 0.250 0.319
18 Se 0.294 0.750 0.819
19 Se 0.318 0.250 0.842
20 Se 0.415 0.537 0.164
21 Se 0.415 0.963 0.164
22 Se 0.494 0.250 0.444
23 Se 0.506 0.750 0.556
24 Se 0.585 0.037 0.836
25 Se 0.585 0.463 0.836
26 Se 0.682 0.750 0.158
27 Se 0.706 0.250 0.181
28 Se 0.794 0.750 0.681
29 Se 0.818 0.250 0.658
30 Se 0.915 0.537 0.336
31 Se 0.915 0.963 0.336
32 Se 0.994 0.250 0.056

Most intense lines, 10° ≤ 2θ ≤ 80°, in order of rising 2θ:
h k l, d_spacing, Rel. int.
3 0 1, 3.639, 37
2 2 1, 3.195, 29
4 0 1, 2.867, 47
1 2 2, 2.807, 71
3 2 1, 2.764, 90
2 2 2, 2.611, 100
1 0 3, 2.560, 37
4 2 0, 2.494, 38
0 4 0, 2.124, 50
5 2 1, 2.056, 54

=====

Diffraction record for LaSi. The PXRD pattern is simulated, not measured: it uses a cell relaxed with PBE and copper Kα.

Cell lengths 8.455, 4.007, 6.052 Å; angles 90.00, 90.00, 90.00 degrees
Element x y z (fractional)
1 La 0.180 0.250 0.113
2 La 0.320 0.750 0.613
3 La 0.680 0.250 0.387
4 La 0.820 0.750 0.887
5 Si 0.033 0.250 0.617
6 Si 0.467 0.750 0.117
7 Si 0.533 0.250 0.883
8 Si 0.967 0.750 0.383

Most intense lines, 10° ≤ 2θ ≤ 80°, in order of rising 2θ:
h k l, d_spacing, Rel. int.
2 0 1, 3.466, 31
0 1 1, 3.341, 37
1 1 1, 3.107, 100
2 1 0, 2.908, 73
1 0 2, 2.849, 82
2 1 1, 2.621, 44
3 0 1, 2.555, 51
1 1 2, 2.322, 41
3 1 2, 1.834, 33
1 2 2, 1.639, 38

=====

Diffraction record for LaSi. The PXRD pattern is simulated, not measured: it uses a cell relaxed with PBE and copper Kα.

Cell lengths 4.568, 13.403, 6.667 Å; angles 90.00, 90.00, 90.00 degrees
Element x y z (fractional)
1 La 0.000 0.052 0.250
2 La 0.000 0.226 0.750
3 La 0.000 0.774 0.250
4 La 0.000 0.948 0.750
5 La 0.500 0.274 0.250
6 La 0.500 0.448 0.750
7 La 0.500 0.552 0.250
8 La 0.500 0.726 0.750
9 Si 0.000 0.409 0.063
10 Si 0.000 0.409 0.437
11 Si 0.000 0.591 0.563
12 Si 0.000 0.591 0.937
13 Si 0.500 0.091 0.563
14 Si 0.500 0.091 0.937
15 Si 0.500 0.909 0.063
16 Si 0.500 0.909 0.437

Most intense lines, 10° ≤ 2θ ≤ 80°, in order of rising 2θ:
h k l, d_spacing, Rel. int.
1 1 0, 4.324, 21
1 1 1, 3.628, 17
0 0 2, 3.333, 30
0 4 1, 2.994, 32
1 3 1, 2.881, 100
1 1 2, 2.640, 40
2 0 0, 2.284, 21
2 0 2, 1.885, 15
1 3 3, 1.824, 14
2 4 1, 1.816, 15

=====

Diffraction record for LaSi2. The PXRD pattern is simulated, not measured: it uses a cell relaxed with PBE and copper Kα.

Cell lengths 4.348, 4.348, 13.807 Å; angles 90.00, 90.00, 90.00 degrees
Element x y z (fractional)
1 La 0.000 0.250 0.375
2 La 0.000 0.750 0.625
3 La 0.500 0.250 0.125
4 La 0.500 0.750 0.875
5 Si 0.000 0.250 0.792
6 Si 0.000 0.250 0.958
7 Si 0.000 0.750 0.042
8 Si 0.000 0.750 0.208
9 Si 0.500 0.250 0.542
10 Si 0.500 0.250 0.708
11 Si 0.500 0.750 0.292
12 Si 0.500 0.750 0.458

Most intense lines, 10° ≤ 2θ ≤ 80°, in order of rising 2θ:
h k l, d_spacing, Rel. int.
1 0 1, 4.147, 35
0 0 4, 3.452, 18
1 0 3, 3.161, 47
1 1 2, 2.809, 100
1 0 5, 2.331, 37
2 0 0, 2.174, 33
2 0 4, 1.841, 19
2 1 3, 1.791, 18
2 1 5, 1.590, 22
3 1 2, 1.348, 20

=====

Diffraction record for LaSi10. The PXRD pattern is simulated, not measured: it uses a cell relaxed with PBE and copper Kα.

Cell lengths 9.500, 9.500, 4.835 Å; angles 90.00, 90.00, 120.00 degrees
Element x y z (fractional)
1 La 0.333 0.667 0.250
2 La 0.667 0.333 0.750
3 Si 0.000 0.000 0.250
4 Si 0.000 0.000 0.750
5 Si 0.046 0.523 0.750
6 Si 0.145 0.289 0.250
7 Si 0.145 0.855 0.250
8 Si 0.183 0.366 0.750
9 Si 0.183 0.817 0.750
10 Si 0.289 0.145 0.750
11 Si 0.366 0.183 0.250
12 Si 0.477 0.523 0.750
13 Si 0.477 0.954 0.750
14 Si 0.523 0.046 0.250
15 Si 0.523 0.477 0.250
16 Si 0.634 0.817 0.750
17 Si 0.711 0.855 0.250
18 Si 0.817 0.183 0.250
19 Si 0.817 0.634 0.250
20 Si 0.855 0.145 0.750
21 Si 0.855 0.711 0.750
22 Si 0.954 0.477 0.250

Most intense lines, 10° ≤ 2θ ≤ 80°, in order of rising 2θ:
h k l, d_spacing, Rel. int.
1 1 0, 4.750, 30
1 0 1, 4.169, 42
2 0 1, 3.133, 39
2 1 1, 2.615, 100
0 0 2, 2.418, 39
2 2 0, 2.375, 87
2 2 2, 1.694, 60
5 0 1, 1.558, 20
2 1 3, 1.431, 15
4 3 1, 1.303, 18

=====

Diffraction record for La5Si4. The PXRD pattern is simulated, not measured: it uses a cell relaxed with PBE and copper Kα.

Cell lengths 8.044, 8.044, 15.547 Å; angles 90.00, 90.00, 90.00 degrees
Element x y z (fractional)
1 La 0.011 0.380 0.053
2 La 0.021 0.874 0.124
3 La 0.120 0.511 0.303
4 La 0.126 0.979 0.376
5 La 0.193 0.807 0.750
6 La 0.307 0.307 0.500
7 La 0.374 0.479 0.874
8 La 0.380 0.011 0.947
9 La 0.479 0.374 0.126
10 La 0.489 0.880 0.197
11 La 0.511 0.120 0.697
12 La 0.521 0.626 0.626
13 La 0.620 0.989 0.447
14 La 0.626 0.521 0.374
15 La 0.693 0.693 0.000
16 La 0.807 0.193 0.250
17 La 0.874 0.021 0.876
18 La 0.880 0.489 0.803
19 La 0.979 0.126 0.624
20 La 0.989 0.620 0.553
21 Si 0.080 0.711 0.941
22 Si 0.171 0.195 0.796
23 Si 0.195 0.171 0.204
24 Si 0.211 0.420 0.691
25 Si 0.289 0.920 0.559
26 Si 0.305 0.671 0.046
27 Si 0.329 0.695 0.454
28 Si 0.420 0.211 0.309
29 Si 0.580 0.789 0.809
30 Si 0.671 0.305 0.954
31 Si 0.695 0.329 0.546
32 Si 0.711 0.080 0.059
33 Si 0.789 0.580 0.191
34 Si 0.805 0.829 0.704
35 Si 0.829 0.805 0.296
36 Si 0.920 0.289 0.441

Most intense lines, 10° ≤ 2θ ≤ 80°, in order of rising 2θ:
h k l, d_spacing, Rel. int.
2 0 2, 3.572, 23
1 0 4, 3.502, 42
1 1 4, 3.209, 26
2 0 3, 3.177, 29
2 1 3, 2.955, 60
2 2 1, 2.797, 100
1 1 5, 2.728, 37
3 0 2, 2.535, 36
4 0 2, 1.947, 27
3 1 6, 1.815, 32